Entry 1:
Structure and calculated X-ray diffraction stick pattern of BaMg14Si (a structure optimized by DFT (PBE); λ = 1.5418 Å (Cu Kα)).
Lines closer than 0.1° are merged.

Cell and atoms:
Cell lengths 10.421, 6.642, 6.642 Å; angles 58.05, 90.00, 90.00 degrees
Sites, in units of the cell vectors:
Ba  0.000  0.000  0.000
Mg  0.000  0.016  0.494
Mg  0.000  0.494  0.016
Mg  0.228  0.646  0.646
Mg  0.261  0.161  0.642
Mg  0.261  0.642  0.161
Mg  0.269  0.159  0.159
Mg  0.500  0.492  0.492
Mg  0.500  0.495  0.981
Mg  0.500  0.981  0.495
Mg  0.500  0.988  0.988
Mg  0.731  0.159  0.159
Mg  0.739  0.161  0.642
Mg  0.739  0.642  0.161
Mg  0.772  0.646  0.646
Si  0.000  0.462  0.462

The 6 most intense peaks (2θ from 10° to 90°), in order of falling intensity:
- 2θ = 36.2°, intensity 100.0
- 2θ = 35.4°, intensity 60.6
- 2θ = 34.4°, intensity 39.0
- 2θ = 31.8°, intensity 33.3
- 2θ = 17.9°, intensity 27.5
- 2θ = 66.9°, intensity 22.8

---

Entry 2:
Structure and calculated X-ray diffraction stick pattern of CdTe (a structure optimized by DFT (PBE); λ = 1.5418 Å (Cu Kα)).
Lines closer than 0.1° are merged.

Cell and atoms:
Cell lengths 4.337, 4.337, 4.337 Å; angles 60.00, 60.00, 60.00 degrees
Sites, in units of the cell vectors:
Cd  0.000  0.000  0.000
Te  0.500  0.500  0.500

The 6 most intense peaks (2θ from 10° to 90°), in order of falling intensity:
- 2θ = 29.1°, intensity 100.0
- 2θ = 41.7°, intensity 74.9
- 2θ = 68.4°, intensity 33.0
- 2θ = 51.6°, intensity 26.3
- 2θ = 76.0°, intensity 24.3
- 2θ = 60.4°, intensity 12.1

---

Entry 3:
Structure and calculated X-ray diffraction stick pattern of La2P3H7O11 (a structure optimized by DFT (PBE); λ = 1.5418 Å (Cu Kα)).
Lines closer than 0.1° are merged.

Cell and atoms:
Cell lengths 8.149, 8.838, 9.638 Å; angles 63.02, 67.33, 72.11 degrees
Sites, in units of the cell vectors:
La  0.097  0.058  0.148
La  0.337  0.741  0.498
La  0.663  0.259  0.502
La  0.903  0.942  0.852
P  0.106  0.207  0.401
P  0.334  0.969  0.760
P  0.484  0.328  0.845
P  0.516  0.672  0.155
P  0.666  0.031  0.240
P  0.894  0.793  0.599
H  0.025  0.421  0.931
H  0.077  0.365  0.632
H  0.128  0.457  0.707
H  0.172  0.614  0.974
H  0.216  0.327  0.353
H  0.447  0.592  0.096
H  0.467  0.873  0.839
H  0.533  0.127  0.161
H  0.553  0.408  0.904
H  0.784  0.673  0.647
H  0.828  0.386  0.026
H  0.872  0.543  0.293
H  0.923  0.635  0.368
H  0.975  0.579  0.069
O  0.006  0.828  0.421
O  0.021  0.720  0.709
O  0.057  0.657  0.038
O  0.142  0.457  0.603
O  0.165  0.021  0.886
O  0.228  0.048  0.367
O  0.280  0.848  0.714
O  0.306  0.274  0.971
O  0.368  0.822  0.187
O  0.410  0.125  0.616
O  0.461  0.462  0.678
O  0.539  0.538  0.322
O  0.590  0.875  0.384
O  0.632  0.178  0.813
O  0.694  0.726  0.029
O  0.720  0.152  0.286
O  0.772  0.952  0.633
O  0.835  0.979  0.114
O  0.858  0.543  0.397
O  0.943  0.343  0.962
O  0.979  0.280  0.291
O  0.994  0.172  0.579

The 6 most intense peaks (2θ from 10° to 90°), in order of falling intensity:
- 2θ = 11.4°, intensity 100.0
- 2θ = 13.3°, intensity 96.4
- 2θ = 24.8°, intensity 83.8
- 2θ = 15.1°, intensity 60.5
- 2θ = 21.3°, intensity 48.7
- 2θ = 27.9°, intensity 45.6

---

Entry 4:
Structure and calculated X-ray diffraction stick pattern of Hf20Fe3Sb9 (a structure optimized by DFT (PBE); λ = 1.5418 Å (Cu Kα)).
Lines closer than 0.1° are merged.

Cell and atoms:
Cell lengths 8.236, 8.236, 15.536 Å; angles 90.00, 90.00, 140.66 degrees
Sites, in units of the cell vectors:
Hf  0.095  0.386  0.930
Hf  0.118  0.384  0.564
Hf  0.169  0.310  0.145
Hf  0.186  0.314  0.365
Hf  0.250  0.750  0.249
Hf  0.250  0.750  0.751
Hf  0.310  0.169  0.855
Hf  0.314  0.186  0.635
Hf  0.384  0.118  0.436
Hf  0.386  0.095  0.070
Hf  0.614  0.905  0.070
Hf  0.616  0.882  0.436
Hf  0.686  0.814  0.635
Hf  0.690  0.831  0.855
Hf  0.750  0.250  0.249
Hf  0.750  0.250  0.751
Hf  0.814  0.686  0.365
Hf  0.831  0.690  0.145
Hf  0.882  0.616  0.564
Hf  0.905  0.614  0.930
Fe  0.000  0.000  0.000
Fe  0.000  0.000  0.500
Fe  0.500  0.500  0.500
Sb  0.000  0.500  0.085
Sb  0.000  0.500  0.414
Sb  0.166  0.337  0.750
Sb  0.337  0.166  0.250
Sb  0.500  0.000  0.586
Sb  0.500  0.000  0.915
Sb  0.500  0.500  0.000
Sb  0.663  0.834  0.250
Sb  0.834  0.663  0.750

The 6 most intense peaks (2θ from 10° to 90°), in order of falling intensity:
- 2θ = 37.5°, intensity 100.0
- 2θ = 33.6°, intensity 46.9
- 2θ = 40.0°, intensity 32.8
- 2θ = 36.6°, intensity 31.3
- 2θ = 36.3°, intensity 27.4
- 2θ = 61.0°, intensity 24.0

---

Entry 5:
Structure and calculated X-ray diffraction stick pattern of GaBiO3 (a structure optimized by DFT (PBE); λ = 1.5418 Å (Cu Kα)).
Lines closer than 0.1° are merged.

Cell and atoms:
Cell lengths 5.494, 5.195, 10.117 Å; angles 90.00, 90.00, 90.00 degrees
Sites, in units of the cell vectors:
Ga  0.250  0.000  0.144
Ga  0.250  0.000  0.644
Ga  0.750  0.000  0.356
Ga  0.750  0.000  0.856
Bi  0.250  0.500  0.390
Bi  0.250  0.500  0.890
Bi  0.750  0.500  0.110
Bi  0.750  0.500  0.610
O  0.000  0.146  0.250
O  0.000  0.854  0.750
O  0.095  0.268  0.554
O  0.095  0.732  0.054
O  0.405  0.268  0.054
O  0.405  0.732  0.554
O  0.500  0.146  0.750
O  0.500  0.854  0.250
O  0.595  0.268  0.446
O  0.595  0.732  0.946
O  0.905  0.268  0.946
O  0.905  0.732  0.446

The 6 most intense peaks (2θ from 10° to 90°), in order of falling intensity:
- 2θ = 29.5°, intensity 100.0
- 2θ = 17.1°, intensity 18.6
- 2θ = 56.3°, intensity 17.1
- 2θ = 32.6°, intensity 16.4
- 2θ = 23.9°, intensity 15.3
- 2θ = 48.2°, intensity 15.3